Record 1
Structure and theoretical XRD peak list of DyHo3S4 (a structure optimized by DFT (PBE); Cu Kα X-rays).

Principal peaks in the range 10 to 80 degrees two-theta, by angle:
2θ/deg  I_rel  h k l
27.95  42  2 2 0
28.26  41  0 2 1
32.57  100  2 0 1
46.35  12  4 0 0
46.71  48  2 4 1
55.17  14  4 2 1
55.69  13  2 2 2
57.77  13  4 4 0
58.44  12  0 4 2
77.63  21  4 4 2

Crystal structure
Unit cell a=7.8362 b=11.0058 c=3.8569 alpha=90.00 beta=90.00 gamma=90.00
Space group Cmmm (No. 65)
Symmetry-distinct sites (fractional):
Dy (0.0000, 0.0000, 0.0000) (multiplicity 2)
Ho (0.0000, 0.5000, 0.0000) (multiplicity 2)
Ho (0.2500, 0.2500, 0.5000) (multiplicity 4)
S (0.0000, 0.2507, 0.0000) (multiplicity 4)
S (0.2486, 0.5000, 0.5000) (multiplicity 4)

=====

Record 2
Structure and theoretical XRD peak list of RbAcO (a structure optimized by DFT (PBE); Cu Kα X-rays).

Principal peaks in the range 10 to 80 degrees two-theta, by angle:
2θ/deg  I_rel  h k l
10.26  77  0 0 3
20.61  74  0 0 6
24.70  100  1 0 1
25.42  36  0 1 2
28.13  42  1 0 4
30.02  71  0 1 5
34.59  34  1 0 7
43.03  34  1 1 0
45.95  24  0 1 11
48.17  47  1 1 6

Crystal structure
Unit cell a=4.2038 b=4.2038 c=25.8593 alpha=90.00 beta=90.00 gamma=120.00
Space group R3m (No. 160, hexagonal axes)
Symmetry-distinct sites (fractional):
Rb (0.0000, 0.0000, 0.0000) (multiplicity 3)
Ac (0.0000, 0.0000, 0.8220) (multiplicity 3)
O (0.0000, 0.0000, 0.1546) (multiplicity 3)

=====

Record 3
Structure and theoretical XRD peak list of PrNd12Tm2 (a structure optimized by DFT (PBE); Cu Kα X-rays).

Principal peaks in the range 10 to 80 degrees two-theta, by angle:
2θ/deg  I_rel  h k l
28.55  27  2 0 4
29.26  49  0 2 7
30.01  70  2 2 2
30.70  68  0 4 0
31.08  21  2 2 3
32.47  100  0 2 8
36.34  30  2 2 6
47.16  20  2 0 11
55.71  20  0 6 8
57.33  22  2 4 11

Crystal structure
Unit cell a=7.2089 b=11.6499 c=25.0853 alpha=90.00 beta=90.00 gamma=90.00
Space group Cmme (No. 67)
Symmetry-distinct sites (fractional):
Pr (0.0000, 0.2500, 0.0020) (multiplicity 4)
Nd (0.0000, 0.0039, 0.9244) (multiplicity 8)
Nd (0.0000, 0.0242, 0.4401) (multiplicity 8)
Nd (0.2309, 0.2500, 0.5859) (multiplicity 8)
Nd (0.2475, 0.2500, 0.1329) (multiplicity 8)
Nd (0.2500, 0.0000, 0.2001) (multiplicity 8)
Nd (0.2500, 0.0000, 0.3248) (multiplicity 8)
Tm (0.0000, 0.2500, 0.2710) (multiplicity 4)
Tm (0.0000, 0.2500, 0.7324) (multiplicity 4)

=====

Record 4
Structure and theoretical XRD peak list of RbZrS3 (a structure optimized by DFT (PBE); Cu Kα X-rays).

Principal peaks in the range 10 to 80 degrees two-theta, by angle:
2θ/deg  I_rel  h k l
17.07  61  0 1 2
21.94  100  1 0 4
26.34  87  1 1 0
30.77  29  0 2 1
34.54  54  0 2 4
35.79  67  1 1 6
36.63  45  2 0 5
43.95  33  2 1 4
45.18  44  1 1 9
54.22  39  2 2 0

Crystal structure
Unit cell a=6.7670 b=6.7670 c=22.4329 alpha=90.00 beta=90.00 gamma=120.00
Space group R-3m (No. 166, hexagonal axes)
Symmetry-distinct sites (fractional):
Rb (0.0000, 0.0000, 0.1290) (multiplicity 6)
Zr (0.0000, 0.0000, 0.3349) (multiplicity 6)
S (0.0029, 0.5015, 0.9259) (multiplicity 18)

=====

Record 5
Structure and theoretical XRD peak list of SrSn3Pd (a structure optimized by DFT (PBE); Cu Kα X-rays).

Principal peaks in the range 10 to 80 degrees two-theta, by angle:
2θ/deg  I_rel  h k l
15.36  14  0 0 1
19.93  16  1 1 -1
29.70  35  1 1 1
30.42  100  2 0 -2
37.24  69  2 2 -1
40.96  41  2 0 1
43.47  22  1 1 -3
48.34  18  3 1 0
53.69  24  0 4 0
62.97  26  4 2 -3

Crystal structure
Unit cell a=6.8291 b=6.8277 c=6.6976 alpha=90.00 beta=120.54 gamma=90.00
Space group Cm (No. 8)
Symmetry-distinct sites (fractional):
Sr (0.0000, 0.0000, 0.0000) (multiplicity 2)
Sn (0.0024, 0.2502, 0.5061) (multiplicity 4)
Sn (0.0884, 0.5000, 0.1769) (multiplicity 2)
Pd (0.3588, 0.0000, 0.7197) (multiplicity 2)

=====

Record 6
Structure and theoretical XRD peak list of InFeCl4 (a structure optimized by DFT (PBE); Cu Kα X-rays).

Principal peaks in the range 10 to 80 degrees two-theta, by angle:
2θ/deg  I_rel  h k l
18.15  16  1 1 1
20.99  8  2 0 0
29.86  61  2 2 0
35.17  100  3 1 1
36.78  17  2 2 2
53.00  23  4 2 2
56.50  31  5 1 1
62.03  21  4 4 0
70.35  9  6 2 0
73.35  10  5 3 3

Crystal structure
Unit cell a=8.4639 b=8.4639 c=8.4639 alpha=90.00 beta=90.00 gamma=90.00
Space group F-43m (No. 216)
Symmetry-distinct sites (fractional):
In (0.0000, 0.0000, 0.0000) (multiplicity 4)
Fe (0.2500, 0.2500, 0.2500) (multiplicity 4)
Cl (0.1241, 0.1241, 0.6241) (multiplicity 16)

=====

Question: What is the formula in the second record?
Answer: RbAcO